Diffraction record for Cu4Ag3. The powder diffraction line list is theoretical, not measured: it uses the GGA-PBE geometry in OQMD and CuKα.

Peak list (12 most intense, 2θ from 10° to 90°, by intensity)
| 2θ (°) | Rel. int. |
| --- | --- |
| 40.9 | 1000 |
| 40.0 | 984 |
| 45.2 | 684 |
| 70.2 | 353 |
| 50.7 | 259 |
| 81.1 | 224 |
| 88.7 | 197 |
| 79.3 | 185 |
| 28.1 | 139 |
| 67.1 | 105 |
| 88.2 | 92 |
| 64.5 | 86 |

Cell and atoms:
```
Cu4Ag3
1.0
2.790 0.000 0.000
0.000 3.601 0.000
0.000 0.000 20.213
Cu Ag
8 6
direct
0.000 0.000 0.073 Cu
0.000 0.000 0.367 Cu
0.000 0.000 0.633 Cu
0.000 0.000 0.927 Cu
0.500 0.500 0.133 Cu
0.500 0.500 0.427 Cu
0.500 0.500 0.573 Cu
0.500 0.500 0.867 Cu
0.000 0.000 0.207 Ag
0.000 0.000 0.500 Ag
0.000 0.000 0.793 Ag
0.500 0.500 0.000 Ag
0.500 0.500 0.293 Ag
0.500 0.500 0.707 Ag
```

---

Diffraction record for Y2AuC. The powder diffraction line list is theoretical, not measured: it uses the GGA-PBE geometry in OQMD and CuKα.

Peak list (12 most intense, 2θ from 10° to 90°, by intensity)
| 2θ (°) | Rel. int. |
| --- | --- |
| 33.9 | 1000 |
| 27.9 | 251 |
| 49.3 | 248 |
| 12.6 | 201 |
| 64.2 | 186 |
| 61.2 | 180 |
| 82.3 | 157 |
| 38.4 | 139 |
| 48.1 | 128 |
| 42.8 | 109 |
| 28.6 | 99 |
| 66.6 | 77 |

Cell and atoms:
```
Y2AuC
1.0
5.548 -3.202 0.000
5.548 3.202 0.000
-3.707 0.000 14.053
Y Au C
12 6 6
direct
0.032 0.865 0.595 Y
0.135 0.968 0.905 Y
0.198 0.365 0.095 Y
0.301 0.468 0.405 Y
0.365 0.198 0.595 Y
0.468 0.301 0.905 Y
0.532 0.699 0.095 Y
0.635 0.802 0.405 Y
0.699 0.532 0.595 Y
0.802 0.635 0.905 Y
0.865 0.032 0.095 Y
0.968 0.135 0.405 Y
0.085 0.248 0.750 Au
0.248 0.085 0.250 Au
0.416 0.584 0.750 Au
0.584 0.416 0.250 Au
0.752 0.915 0.750 Au
0.915 0.752 0.250 Au
0.000 0.500 0.500 C
0.167 0.667 0.000 C
0.333 0.833 0.500 C
0.500 0.000 0.000 C
0.667 0.167 0.500 C
0.833 0.333 0.000 C
```

---

Diffraction record for Tl2Au. The powder diffraction line list is theoretical, not measured: it uses the GGA-PBE geometry in OQMD and CuKα.

Peak list (12 most intense, 2θ from 10° to 90°, by intensity)
| 2θ (°) | Rel. int. |
| --- | --- |
| 29.3 | 1000 |
| 42.0 | 488 |
| 41.0 | 148 |
| 51.2 | 147 |
| 52.8 | 104 |
| 69.0 | 100 |
| 42.9 | 97 |
| 69.0 | 95 |
| 75.3 | 88 |
| 60.8 | 75 |
| 67.6 | 62 |
| 78.0 | 47 |

Cell and atoms:
```
Tl2Au
1.0
16.864 0.000 0.000
0.000 9.125 0.000
0.000 0.000 4.404
Tl Au
16 8
direct
0.018 0.177 0.000 Tl
0.111 0.484 0.518 Tl
0.133 0.846 0.502 Tl
0.250 0.149 0.998 Tl
0.250 0.510 0.018 Tl
0.367 0.846 0.502 Tl
0.389 0.484 0.518 Tl
0.482 0.177 0.000 Tl
0.518 0.823 0.000 Tl
0.611 0.516 0.518 Tl
0.633 0.154 0.502 Tl
0.750 0.490 0.018 Tl
0.750 0.851 0.998 Tl
0.867 0.154 0.502 Tl
0.889 0.516 0.518 Tl
0.982 0.823 0.000 Tl
0.000 0.500 0.019 Au
0.134 0.166 0.499 Au
0.250 0.826 0.002 Au
0.366 0.166 0.499 Au
0.500 0.500 0.019 Au
0.634 0.834 0.499 Au
0.750 0.174 0.002 Au
0.866 0.834 0.499 Au
```

---

Diffraction record for Sr2BiAsAu2. The powder diffraction line list is theoretical, not measured: it uses the GGA-PBE geometry in OQMD and CuKα.

Peak list (12 most intense, 2θ from 10° to 90°, by intensity)
| 2θ (°) | Rel. int. |
| --- | --- |
| 30.1 | 1000 |
| 38.0 | 714 |
| 57.8 | 412 |
| 20.6 | 380 |
| 43.6 | 345 |
| 49.2 | 258 |
| 63.8 | 238 |
| 41.9 | 177 |
| 21.7 | 151 |
| 83.8 | 150 |
| 68.7 | 128 |
| 89.1 | 103 |

Cell and atoms:
```
Sr2BiAsAu2
1.0
4.733 0.000 0.000
-2.366 4.099 0.000
0.000 0.000 8.626
Sr Bi As Au
2 1 1 2
direct
0.000 0.000 0.000 Sr
0.000 0.000 0.470 Sr
0.667 0.333 0.733 Bi
0.333 0.667 0.234 As
0.333 0.667 0.738 Au
0.667 0.333 0.237 Au
```

---

Diffraction record for BiIr15. The powder diffraction line list is theoretical, not measured: it uses the GGA-PBE geometry in OQMD and CuKα.

Peak list (12 most intense, 2θ from 10° to 90°, by intensity)
| 2θ (°) | Rel. int. |
| --- | --- |
| 39.5 | 1000 |
| 39.9 | 975 |
| 46.7 | 866 |
| 40.7 | 674 |
| 41.1 | 652 |
| 68.5 | 437 |
| 82.3 | 429 |
| 47.2 | 333 |
| 81.4 | 254 |
| 46.7 | 226 |
| 67.6 | 183 |
| 83.1 | 177 |

Cell and atoms:
```
BiIr15
1.0
5.461 0.000 0.000
0.000 2.772 0.000
-0.002 0.000 44.310
Bi Ir
2 30
direct
0.125 0.250 0.159 Bi
0.875 0.750 0.841 Bi
0.121 0.250 0.783 Ir
0.125 0.250 0.260 Ir
0.125 0.250 0.347 Ir
0.125 0.250 0.434 Ir
0.125 0.250 0.522 Ir
0.125 0.250 0.609 Ir
0.126 0.250 0.696 Ir
0.371 0.750 0.217 Ir
0.375 0.750 0.391 Ir
0.375 0.750 0.478 Ir
0.375 0.750 0.565 Ir
0.375 0.750 0.653 Ir
0.375 0.750 0.740 Ir
0.375 0.750 0.824 Ir
0.376 0.750 0.304 Ir
0.624 0.250 0.696 Ir
0.625 0.250 0.176 Ir
0.625 0.250 0.260 Ir
0.625 0.250 0.347 Ir
0.625 0.250 0.435 Ir
0.625 0.250 0.522 Ir
0.625 0.250 0.609 Ir
0.629 0.250 0.783 Ir
0.874 0.750 0.304 Ir
0.875 0.750 0.391 Ir
0.875 0.750 0.478 Ir
0.875 0.750 0.566 Ir
0.875 0.750 0.653 Ir
0.875 0.750 0.740 Ir
0.879 0.750 0.217 Ir
```

---

Diffraction record for Y4CoCuN2. The powder diffraction line list is theoretical, not measured: it uses the GGA-PBE geometry in OQMD and CuKα.

Peak list (12 most intense, 2θ from 10° to 90°, by intensity)
| 2θ (°) | Rel. int. |
| --- | --- |
| 35.6 | 1000 |
| 52.4 | 255 |
| 29.5 | 238 |
| 64.9 | 161 |
| 88.0 | 137 |
| 67.5 | 128 |
| 50.0 | 116 |
| 39.4 | 109 |
| 69.0 | 60 |
| 44.6 | 54 |
| 39.7 | 53 |
| 55.9 | 52 |

Cell and atoms:
```
Y4CoCuN2
1.0
3.495 0.000 0.000
-1.747 3.027 0.000
0.000 0.000 13.716
Y Co Cu N
4 1 1 2
direct
0.000 0.000 0.143 Y
0.000 0.000 0.857 Y
0.667 0.333 0.345 Y
0.667 0.333 0.655 Y
0.667 0.333 0.000 Co
0.000 0.000 0.500 Cu
0.333 0.667 0.248 N
0.333 0.667 0.752 N
```

---

Diffraction record for Li4IrO5. The powder diffraction line list is theoretical, not measured: it uses the GGA-PBE geometry in OQMD and CuKα.

Peak list (12 most intense, 2θ from 10° to 90°, by intensity)
| 2θ (°) | Rel. int. |
| --- | --- |
| 19.0 | 1000 |
| 26.4 | 920 |
| 38.1 | 463 |
| 27.0 | 401 |
| 43.3 | 378 |
| 55.3 | 222 |
| 65.1 | 214 |
| 62.5 | 173 |
| 47.3 | 169 |
| 50.3 | 158 |
| 38.5 | 150 |
| 62.9 | 127 |

Cell and atoms:
```
Li4IrO5
1.0
-3.306 3.306 1.968
3.306 -3.306 1.968
3.306 3.306 -1.968
Li Ir O
4 1 5
direct
0.102 0.314 0.416 Li
0.314 0.898 0.211 Li
0.686 0.102 0.789 Li
0.898 0.686 0.584 Li
0.500 0.500 0.000 Ir
0.000 0.000 0.000 O
0.221 0.594 0.815 O
0.406 0.221 0.627 O
0.594 0.779 0.373 O
0.779 0.406 0.185 O
```

---

Diffraction record for Cs2ZrAg2Se2S2. The powder diffraction line list is theoretical, not measured: it uses the GGA-PBE geometry in OQMD and CuKα.

Peak list (12 most intense, 2θ from 10° to 90°, by intensity)
| 2θ (°) | Rel. int. |
| --- | --- |
| 27.3 | 1000 |
| 31.0 | 810 |
| 47.5 | 480 |
| 40.6 | 478 |
| 20.9 | 253 |
| 49.6 | 251 |
| 37.1 | 215 |
| 24.6 | 202 |
| 78.8 | 148 |
| 15.3 | 143 |
| 48.0 | 135 |
| 37.9 | 107 |

Cell and atoms:
```
Cs2ZrAg2Se2S2
1.0
6.296 0.000 0.000
0.000 6.282 0.000
-3.140 0.000 7.235
Cs Zr Ag Se S
2 1 2 2 2
direct
0.000 0.000 0.000 Cs
0.500 0.471 0.000 Cs
0.500 0.733 0.500 Zr
0.000 0.723 0.500 Ag
0.500 0.237 0.500 Ag
0.372 0.966 0.711 Se
0.628 0.966 0.289 Se
0.179 0.511 0.304 S
0.821 0.511 0.696 S
```

---

Diffraction record for Sc2Tc. The powder diffraction line list is theoretical, not measured: it uses the GGA-PBE geometry in OQMD and CuKα.

Peak list (12 most intense, 2θ from 10° to 90°, by intensity)
| 2θ (°) | Rel. int. |
| --- | --- |
| 36.6 | 1000 |
| 16.1 | 511 |
| 38.7 | 504 |
| 68.7 | 286 |
| 49.8 | 257 |
| 42.1 | 174 |
| 55.8 | 162 |
| 78.0 | 128 |
| 28.3 | 111 |
| 64.6 | 106 |
| 81.1 | 91 |
| 58.5 | 65 |

Cell and atoms:
```
Sc2Tc
1.0
3.293 0.000 0.000
0.000 3.293 0.000
0.000 0.000 11.022
Sc Tc
4 2
direct
0.000 0.000 0.136 Sc
0.000 0.000 0.864 Sc
0.500 0.500 0.364 Sc
0.500 0.500 0.636 Sc
0.000 0.000 0.500 Tc
0.500 0.500 0.000 Tc
```

---

Diffraction record for Zn. The powder diffraction line list is theoretical, not measured: it uses the GGA-PBE geometry in OQMD and CuKα.

Peak list (4 most intense, 2θ from 10° to 90°, by intensity)
| 2θ (°) | Rel. int. |
| --- | --- |
| 41.3 | 1000 |
| 75.3 | 306 |
| 59.8 | 158 |
| 89.7 | 97 |

Cell and atoms:
```
Zn
1.0
3.091 0.000 0.000
0.000 3.091 0.000
0.000 0.000 3.091
Zn
2
direct
0.000 0.000 0.000 Zn
0.500 0.500 0.500 Zn
```

---

Diffraction record for Zn5Cd. The powder diffraction line list is theoretical, not measured: it uses the GGA-PBE geometry in OQMD and CuKα.

Peak list (12 most intense, 2θ from 10° to 90°, by intensity)
| 2θ (°) | Rel. int. |
| --- | --- |
| 40.6 | 1000 |
| 40.2 | 317 |
| 28.7 | 313 |
| 42.0 | 312 |
| 34.6 | 252 |
| 66.1 | 220 |
| 88.0 | 203 |
| 45.6 | 193 |
| 59.5 | 188 |
| 73.0 | 166 |
| 75.8 | 145 |
| 55.5 | 123 |

Cell and atoms:
```
Zn5Cd
1.0
5.183 0.000 0.000
-2.592 4.489 0.000
0.000 0.000 4.303
Zn Cd
5 1
direct
0.000 0.500 0.000 Zn
0.333 0.667 0.500 Zn
0.500 0.000 0.000 Zn
0.500 0.500 0.000 Zn
0.667 0.333 0.500 Zn
0.000 0.000 0.500 Cd
```

---

Diffraction record for DyErHg6. The powder diffraction line list is theoretical, not measured: it uses the GGA-PBE geometry in OQMD and CuKα.

Peak list (12 most intense, 2θ from 10° to 90°, by intensity)
| 2θ (°) | Rel. int. |
| --- | --- |
| 35.5 | 1000 |
| 37.0 | 285 |
| 37.9 | 278 |
| 65.7 | 171 |
| 32.9 | 157 |
| 30.2 | 156 |
| 70.0 | 136 |
| 57.1 | 124 |
| 50.3 | 98 |
| 66.0 | 98 |
| 65.4 | 97 |
| 51.8 | 96 |

Cell and atoms:
```
DyErHg6
1.0
4.861 0.000 0.000
0.000 7.054 0.000
0.000 0.000 10.892
Dy Er Hg
2 2 12
direct
0.000 0.000 0.000 Dy
0.000 0.500 0.500 Dy
0.500 0.000 0.285 Er
0.500 0.500 0.785 Er
0.000 0.000 0.467 Hg
0.000 0.231 0.735 Hg
0.000 0.269 0.235 Hg
0.000 0.500 0.967 Hg
0.000 0.731 0.235 Hg
0.000 0.769 0.735 Hg
0.500 0.000 0.817 Hg
0.500 0.230 0.550 Hg
0.500 0.270 0.050 Hg
0.500 0.500 0.317 Hg
0.500 0.730 0.050 Hg
0.500 0.770 0.550 Hg
```

---

Diffraction record for Tb2ErSn3Pd3. The powder diffraction line list is theoretical, not measured: it uses the GGA-PBE geometry in OQMD and CuKα.

Peak list (12 most intense, 2θ from 10° to 90°, by intensity)
| 2θ (°) | Rel. int. |
| --- | --- |
| 32.6 | 1000 |
| 35.5 | 863 |
| 36.4 | 310 |
| 45.2 | 255 |
| 41.5 | 228 |
| 59.4 | 227 |
| 66.8 | 200 |
| 36.5 | 147 |
| 43.1 | 142 |
| 63.0 | 132 |
| 77.1 | 121 |
| 41.7 | 113 |

Cell and atoms:
```
Tb2ErSn3Pd3
1.0
4.011 0.000 0.000
0.000 6.505 3.772
0.000 -6.505 3.772
Tb Er Sn Pd
2 1 3 3
direct
0.000 0.204 0.796 Tb
0.000 0.796 0.204 Tb
0.000 0.388 0.388 Er
0.500 0.054 0.054 Sn
0.500 0.538 0.795 Sn
0.500 0.795 0.538 Sn
0.000 0.794 0.794 Pd
0.500 0.131 0.462 Pd
0.500 0.462 0.131 Pd
```